Simulated powder XRD pattern
Compound: Ba2NdBiO6
Radiation: copper Kα
Structure: a DFT-relaxed cell (PBE, the Materials Project)
Intensities are scaled so that the largest is 100.

Top 12 peaks for 10 to 90 degrees two-theta, low angle first:
2θ 17.33, intensity 3; 2θ 20.03, intensity 5; 2θ 28.48, intensity 100; 2θ 33.53, intensity 1; 2θ 40.71, intensity 28; 2θ 45.77, intensity 2; 2θ 50.43, intensity 44; 2θ 58.93, intensity 18; 2θ 66.73, intensity 19; 2θ 74.09, intensity 6; 2θ 81.19, intensity 23; 2θ 88.16, intensity 3

Atomic structure:
```
data_Ba2NdBiO6
_chemical_formula_sum 'Ba8 Nd4 Bi4 O24'
_symmetry_space_group_name_H-M 'P n -3'
_symmetry_Int_Tables_number 201
_cell_length_a 8.865
_cell_length_b 8.865
_cell_length_c 8.865
_cell_angle_alpha 90.00
_cell_angle_beta 90.00
_cell_angle_gamma 90.00
loop_
_symmetry_equiv_pos_as_xyz
'x,y,z'
'-x,-y,-z'
'-x+1/2,-y+1/2,z'
'x+1/2,y+1/2,-z'
'x,-y+1/2,-z+1/2'
'-x,y+1/2,z+1/2'
'-x+1/2,y,-z+1/2'
'x+1/2,-y,z+1/2'
'z,x,y'
'-z,-x,-y'
'z,-x+1/2,-y+1/2'
'-z,x+1/2,y+1/2'
'-z+1/2,x,-y+1/2'
'z+1/2,-x,y+1/2'
'-z+1/2,-x+1/2,y'
'z+1/2,x+1/2,-y'
'y,z,x'
'-y,-z,-x'
'-y+1/2,z,-x+1/2'
'y+1/2,-z,x+1/2'
'-y+1/2,-z+1/2,x'
'y+1/2,z+1/2,-x'
'y,-z+1/2,-x+1/2'
'-y,z+1/2,x+1/2'
loop_
_atom_site_label
_atom_site_type_symbol
_atom_site_fract_x
_atom_site_fract_y
_atom_site_fract_z
Ba1 Ba 0.250 0.250 0.250
Ba2 Ba 0.250 0.250 0.750
Nd1 Nd 0.000 0.000 0.000
Bi1 Bi 0.000 0.000 0.500
O1 O 0.024 0.527 0.761
```



Simulated powder XRD pattern
Compound: Ba2NdBiO6
Radiation: copper Kα
Structure: a DFT-relaxed cell (PBE, the Materials Project)
Intensities are scaled so that the largest is 100.

Top 12 peaks for 10 to 90 degrees two-theta, low angle first:
2θ 28.46, intensity 100; 2θ 28.65, intensity 100; 2θ 40.75, intensity 37; 2θ 40.97, intensity 17; 2θ 50.24, intensity 15; 2θ 50.58, intensity 29; 2θ 50.71, intensity 30; 2θ 58.96, intensity 11; 2θ 59.36, intensity 11; 2θ 66.68, intensity 12; 2θ 66.98, intensity 19; 2θ 81.61, intensity 14

Atomic structure:
```
data_Ba2NdBiO6
_chemical_formula_sum 'Ba4 Nd2 Bi2 O12'
_symmetry_space_group_name_H-M 'C 1 2/m 1'
_symmetry_Int_Tables_number 12
_cell_length_a 10.778
_cell_length_b 6.242
_cell_length_c 6.284
_cell_angle_alpha 90.00
_cell_angle_beta 125.16
_cell_angle_gamma 90.00
loop_
_symmetry_equiv_pos_as_xyz
'x,y,z'
'-x,-y,-z'
'-x,y,-z'
'x,-y,z'
'x+1/2,y+1/2,z'
'-x+1/2,-y+1/2,-z'
'-x+1/2,y+1/2,-z'
'x+1/2,-y+1/2,z'
loop_
_atom_site_label
_atom_site_type_symbol
_atom_site_fract_x
_atom_site_fract_y
_atom_site_fract_z
Ba1 Ba 0.248 0.000 0.240
Nd1 Nd 0.000 0.000 0.500
Bi1 Bi 0.000 0.500 0.000
O1 O 0.040 0.259 0.802
O2 O 0.238 0.500 0.311
```



Simulated powder XRD pattern
Compound: Ba2NdBiO6
Radiation: copper Kα
Structure: a DFT-relaxed cell (PBE, the Materials Project)
Intensities are scaled so that the largest is 100.

Top 12 peaks for 10 to 90 degrees two-theta, low angle first:
2θ 17.31, intensity 3; 2θ 20.02, intensity 5; 2θ 28.46, intensity 100; 2θ 33.50, intensity 1; 2θ 40.68, intensity 29; 2θ 45.74, intensity 2; 2θ 50.39, intensity 42; 2θ 58.89, intensity 19; 2θ 66.68, intensity 19; 2θ 74.03, intensity 6; 2θ 81.12, intensity 22; 2θ 88.08, intensity 3

Atomic structure:
```
data_Ba2NdBiO6
_chemical_formula_sum 'Ba8 Nd4 Bi4 O24'
_symmetry_space_group_name_H-M 'F m -3 m'
_symmetry_Int_Tables_number 225
_symmetry_space_group_name_Hall '-F 4 2 3'
_cell_length_a 8.872
_cell_length_b 8.872
_cell_length_c 8.872
_cell_angle_alpha 90.00
_cell_angle_beta 90.00
_cell_angle_gamma 90.00
loop_
_atom_site_label
_atom_site_type_symbol
_atom_site_fract_x
_atom_site_fract_y
_atom_site_fract_z
Ba1 Ba 0.250 0.250 0.250
Nd1 Nd 0.000 0.000 0.000
Bi1 Bi 0.000 0.000 0.500
O1 O 0.000 0.000 0.260
```



Simulated powder XRD pattern
Compound: Ba11Bi9O30
Radiation: copper Kα
Structure: a DFT-relaxed cell (PBE, the Materials Project)
Intensities are scaled so that the largest is 100.

Top 12 peaks for 10 to 90 degrees two-theta, low angle first:
2θ 19.99, intensity 15; 2θ 28.22, intensity 50; 2θ 28.24, intensity 100; 2θ 28.55, intensity 50; 2θ 28.59, intensity 100; 2θ 40.59, intensity 53; 2θ 40.63, intensity 26; 2θ 49.97, intensity 24; 2θ 50.19, intensity 67; 2θ 50.83, intensity 21; 2θ 58.41, intensity 16; 2θ 59.13, intensity 17

Atomic structure:
```
data_Ba11Bi9O30
_chemical_formula_sum 'Ba11 Bi9 O30'
_symmetry_space_group_name_H-M 'P -1'
_symmetry_Int_Tables_number 2
_cell_length_a 8.883
_cell_length_b 10.782
_cell_length_c 10.903
_cell_angle_alpha 81.09
_cell_angle_beta 66.28
_cell_angle_gamma 66.62
loop_
_symmetry_equiv_pos_as_xyz
'x,y,z'
'-x,-y,-z'
loop_
_atom_site_label
_atom_site_type_symbol
_atom_site_fract_x
_atom_site_fract_y
_atom_site_fract_z
Ba1 Ba 0.000 0.000 0.000
Ba2 Ba 0.047 0.306 0.103
Ba3 Ba 0.149 0.897 0.305
Ba4 Ba 0.250 0.501 0.502
Ba5 Ba 0.351 0.099 0.700
Ba6 Ba 0.454 0.698 0.901
Bi1 Bi 0.099 0.595 0.205
Bi2 Bi 0.201 0.199 0.401
Bi3 Bi 0.308 0.795 0.594
Bi4 Bi 0.397 0.401 0.802
Bi5 Bi 0.500 0.000 0.000
O1 O 0.001 0.207 0.856
O2 O 0.007 0.336 0.588
O3 O 0.049 0.787 0.627
O4 O 0.145 0.431 0.765
O5 O 0.200 0.385 0.270
O6 O 0.208 0.521 0.999
O7 O 0.210 0.004 0.521
O8 O 0.216 0.863 0.790
O9 O 0.262 0.977 0.048
O10 O 0.357 0.604 0.168
O11 O 0.392 0.208 0.929
O12 O 0.400 0.077 0.207
O13 O 0.401 0.588 0.660
O14 O 0.411 0.729 0.388
O15 O 0.433 0.194 0.448
```



Simulated powder XRD pattern
Compound: Ba13Bi11O36
Radiation: copper Kα
Structure: a DFT-relaxed cell (PBE, the Materials Project)
Intensities are scaled so that the largest is 100.

Top 12 peaks for 10 to 90 degrees two-theta, low angle first:
2θ 20.04, intensity 16; 2θ 28.33, intensity 99; 2θ 28.64, intensity 100; 2θ 40.73, intensity 53; 2θ 50.17, intensity 24; 2θ 50.35, intensity 44; 2θ 50.92, intensity 21; 2θ 58.62, intensity 16; 2θ 59.29, intensity 17; 2θ 66.52, intensity 19; 2θ 66.99, intensity 19; 2θ 80.86, intensity 13

Atomic structure:
```
data_Ba13Bi11O36
_chemical_formula_sum 'Ba13 Bi11 O36'
_symmetry_space_group_name_H-M 'P -1'
_symmetry_Int_Tables_number 2
_cell_length_a 10.762
_cell_length_b 10.910
_cell_length_c 10.911
_cell_angle_alpha 60.01
_cell_angle_beta 70.23
_cell_angle_gamma 80.26
loop_
_symmetry_equiv_pos_as_xyz
'x,y,z'
'-x,-y,-z'
loop_
_atom_site_label
_atom_site_type_symbol
_atom_site_fract_x
_atom_site_fract_y
_atom_site_fract_z
Ba1 Ba 0.000 0.000 0.000
Ba2 Ba 0.121 0.666 0.298
Ba3 Ba 0.122 0.339 0.954
Ba4 Ba 0.123 0.995 0.627
Ba5 Ba 0.375 0.666 0.542
Ba6 Ba 0.378 0.334 0.207
Ba7 Ba 0.381 0.000 0.872
Bi1 Bi 0.003 0.333 0.332
Bi2 Bi 0.252 0.002 0.252
Bi3 Bi 0.253 0.336 0.577
Bi4 Bi 0.253 0.661 0.918
Bi5 Bi 0.500 0.000 0.500
Bi6 Bi 0.500 0.331 0.836
O1 O 0.128 0.479 0.658
O2 O 0.128 0.701 0.778
O3 O 0.129 0.821 0.435
O4 O 0.131 0.476 0.099
O5 O 0.132 0.382 0.432
O6 O 0.133 0.142 0.338
O7 O 0.133 0.163 0.741
O8 O 0.133 0.786 0.007
O9 O 0.134 0.052 0.117
O10 O 0.370 0.521 0.835
O11 O 0.371 0.847 0.735
O12 O 0.372 0.520 0.397
O13 O 0.373 0.296 0.721
O14 O 0.375 0.861 0.169
O15 O 0.375 0.959 0.392
O16 O 0.381 0.621 0.053
O17 O 0.383 0.200 0.494
O18 O 0.385 0.176 0.074
```



Simulated powder XRD pattern
Compound: BaBi2O5
Radiation: copper Kα
Structure: a DFT-relaxed cell (PBE, the Materials Project)
Intensities are scaled so that the largest is 100.

Top 12 peaks for 10 to 90 degrees two-theta, low angle first:
2θ 18.83, intensity 21; 2θ 21.10, intensity 34; 2θ 23.14, intensity 30; 2θ 28.43, intensity 100; 2θ 30.01, intensity 39; 2θ 41.80, intensity 19; 2θ 42.96, intensity 24; 2θ 49.33, intensity 25; 2θ 52.32, intensity 41; 2θ 53.25, intensity 14; 2θ 70.73, intensity 20; 2θ 85.68, intensity 14

Atomic structure:
```
data_BaBi2O5
_chemical_formula_sum 'Ba1 Bi2 O5'
_symmetry_space_group_name_H-M 'P 4/m m m'
_symmetry_Int_Tables_number 123
_symmetry_space_group_name_Hall '-P 4 2'
_cell_length_a 4.211
_cell_length_b 4.211
_cell_length_c 9.423
_cell_angle_alpha 90.00
_cell_angle_beta 90.00
_cell_angle_gamma 90.00
loop_
_atom_site_label
_atom_site_type_symbol
_atom_site_fract_x
_atom_site_fract_y
_atom_site_fract_z
Ba1 Ba 0.000 0.000 0.000
Bi1 Bi 0.500 0.500 0.277
O1 O 0.000 0.500 0.193
O2 O 0.500 0.500 0.500
```



Simulated powder XRD pattern
Compound: Ba8Bi4O17
Radiation: copper Kα
Structure: a DFT-relaxed cell (PBE, the Materials Project)
Intensities are scaled so that the largest is 100.

Top 12 peaks for 10 to 90 degrees two-theta, low angle first:
2θ 27.61, intensity 99; 2θ 27.75, intensity 100; 2θ 39.28, intensity 13; 2θ 39.68, intensity 38; 2θ 48.71, intensity 12; 2θ 48.86, intensity 12; 2θ 48.99, intensity 35; 2θ 49.12, intensity 20; 2θ 57.37, intensity 12; 2θ 64.79, intensity 9; 2θ 64.98, intensity 9; 2θ 78.78, intensity 10

Atomic structure:
```
data_Ba8Bi4O17
_chemical_formula_sum 'Ba8 Bi4 O17'
_symmetry_space_group_name_H-M 'P 1'
_symmetry_Int_Tables_number 1
_cell_length_a 6.424
_cell_length_b 6.425
_cell_length_c 14.473
_cell_angle_alpha 102.54
_cell_angle_beta 102.71
_cell_angle_gamma 90.11
loop_
_symmetry_equiv_pos_as_xyz
'x,y,z'
loop_
_atom_site_label
_atom_site_type_symbol
_atom_site_fract_x
_atom_site_fract_y
_atom_site_fract_z
Ba1 Ba 0.000 0.000 0.000
Ba2 Ba 0.080 0.578 0.163
Ba3 Ba 0.178 0.155 0.315
Ba4 Ba 0.352 0.345 0.686
Ba5 Ba 0.490 0.490 0.000
Ba6 Ba 0.661 0.667 0.315
Ba7 Ba 0.749 0.239 0.476
Ba8 Ba 0.847 0.833 0.686
Bi1 Bi 0.240 0.732 0.473
Bi2 Bi 0.414 0.909 0.823
Bi3 Bi 0.570 0.064 0.141
Bi4 Bi 0.913 0.404 0.817
O1 O 0.001 0.465 0.969
O2 O 0.001 0.936 0.425
O3 O 0.146 0.153 0.799
O4 O 0.153 0.642 0.807
O5 O 0.307 0.799 0.625
O6 O 0.322 0.828 0.122
O7 O 0.341 0.300 0.134
O8 O 0.441 0.487 0.428
O9 O 0.446 0.931 0.430
O10 O 0.486 0.009 0.975
O11 O 0.627 0.113 0.292
O12 O 0.662 0.154 0.803
O13 O 0.667 0.646 0.811
O14 O 0.788 0.818 0.124
O15 O 0.807 0.286 0.134
O16 O 0.828 0.344 0.662
O17 O 0.992 0.489 0.416
```



Simulated powder XRD pattern
Compound: Ba8Bi4O17
Radiation: copper Kα
Structure: a DFT-relaxed cell (PBE, the Materials Project)
Intensities are scaled so that the largest is 100.

Top 12 peaks for 10 to 90 degrees two-theta, low angle first:
2θ 27.67, intensity 100; 2θ 27.80, intensity 52; 2θ 39.33, intensity 9; 2θ 39.72, intensity 30; 2θ 48.85, intensity 18; 2θ 49.10, intensity 42; 2θ 57.14, intensity 12; 2θ 57.43, intensity 10; 2θ 64.95, intensity 20; 2θ 71.82, intensity 8; 2θ 78.68, intensity 9; 2θ 78.87, intensity 11

Atomic structure:
```
data_Ba8Bi4O17
_chemical_formula_sum 'Ba16 Bi8 O34'
_symmetry_space_group_name_H-M 'I 4 m m'
_symmetry_Int_Tables_number 107
_symmetry_space_group_name_Hall 'I 4 -2'
_cell_length_a 6.418
_cell_length_b 6.418
_cell_length_c 27.487
_cell_angle_alpha 90.00
_cell_angle_beta 90.00
_cell_angle_gamma 90.00
loop_
_atom_site_label
_atom_site_type_symbol
_atom_site_fract_x
_atom_site_fract_y
_atom_site_fract_z
Ba1 Ba 0.000 0.000 0.000
Ba2 Ba 0.000 0.000 0.345
Ba3 Ba 0.000 0.500 0.106
Ba4 Ba 0.000 0.500 0.264
Ba5 Ba 0.000 0.500 0.418
Bi1 Bi 0.000 0.000 0.171
Bi2 Bi 0.000 0.000 0.497
Bi3 Bi 0.000 0.000 0.674
Bi4 Bi 0.000 0.000 0.834
O1 O 0.000 0.000 0.093
O2 O 0.000 0.000 0.247
O3 O 0.000 0.000 0.574
O4 O 0.000 0.000 0.751
O5 O 0.000 0.000 0.909
O6 O 0.221 0.221 0.472
O7 O 0.233 0.233 0.828
O8 O 0.243 0.243 0.165
```